No. 1
# V3Ni2
Theoretical powder X-ray diffraction pattern, Cu Ka. Input: a structure optimized by DFT (GGA-PBE).
Kinematic intensities with the Lorentz-polarization factor, no thermal factor.

Top 10 peaks for 2θ = 10–80°, in order of falling intensity:
45.4 deg, d 1.999, I 100; 46.0 deg, d 1.972, I 98; 47.2 deg, d 1.927, I 97; 46.5 deg, d 1.952, I 97; 45.8 deg, d 1.979, I 95; 39.1 deg, d 2.306, I 93; 47.5 deg, d 1.913, I 85; 46.4 deg, d 1.959, I 82; 41.4 deg, d 2.182, I 70; 41.9 deg, d 2.154, I 67

Unit cell a=8.8937 b=4.6129 c=9.0232 alpha=90.00 beta=90.53 gamma=90.00
Fractional positions:
V 0.0348 0.0000 0.1253
V 0.1101 0.0000 0.3933
V 0.1264 0.5000 0.9643
V 0.1843 0.2456 0.6798
V 0.1843 0.7544 0.6798
V 0.3221 0.2545 0.1825
V 0.3221 0.7455 0.1825
V 0.3780 0.0000 0.4658
V 0.3941 0.5000 0.8967
V 0.6059 0.5000 0.1033
V 0.6220 0.0000 0.5342
V 0.6779 0.2545 0.8175
V 0.6779 0.7455 0.8175
V 0.8157 0.2456 0.3202
V 0.8157 0.7544 0.3202
V 0.8736 0.5000 0.0357
V 0.8899 0.0000 0.6067
V 0.9652 0.0000 0.8747
Ni 0.0000 0.5000 0.5000
Ni 0.0649 0.5000 0.2432
Ni 0.2417 0.0000 0.9352
Ni 0.2608 0.5000 0.4352
Ni 0.4342 0.0000 0.7415
Ni 0.4622 0.5000 0.6313
Ni 0.5000 0.0000 0.0000
Ni 0.5378 0.5000 0.3687
Ni 0.5658 0.0000 0.2585
Ni 0.7392 0.5000 0.5648
Ni 0.7583 0.0000 0.0648
Ni 0.9351 0.5000 0.7568

---

No. 2
# Ni4W
Theoretical powder X-ray diffraction pattern, Cu Ka. Input: a structure optimized by DFT (GGA-PBE).
Kinematic intensities with the Lorentz-polarization factor, no thermal factor.

Top 10 peaks for 2θ = 10–80°, in order of falling intensity:
43.5 deg, d 2.080, I 100; 50.3 deg, d 1.814, I 32; 74.8 deg, d 1.269, I 19; 21.9 deg, d 4.057, I 18; 29.6 deg, d 3.020, I 18; 51.4 deg, d 1.776, I 14; 73.9 deg, d 1.283, I 10; 31.2 deg, d 2.869, I 8; 64.1 deg, d 1.452, I 4; 54.5 deg, d 1.684, I 3

Unit cell a=5.7370 b=5.7370 c=3.5525 alpha=90.00 beta=90.00 gamma=90.00
Fractional positions:
Ni 0.0996 0.3008 0.0000
Ni 0.1992 0.5996 0.5000
Ni 0.3008 0.9004 0.0000
Ni 0.4004 0.1992 0.5000
Ni 0.5996 0.8008 0.5000
Ni 0.6992 0.0996 0.0000
Ni 0.8008 0.4004 0.5000
Ni 0.9004 0.6992 0.0000
W 0.0000 0.0000 0.5000
W 0.5000 0.5000 0.0000

---

No. 3
# Y2Ni17
Theoretical powder X-ray diffraction pattern, Cu Ka. Input: a structure optimized by DFT (GGA-PBE).
Kinematic intensities with the Lorentz-polarization factor, no thermal factor.

Top 10 peaks for 2θ = 10–80°, in order of falling intensity:
44.2 deg, d 2.048, I 100; 43.9 deg, d 2.063, I 66; 49.7 deg, d 1.834, I 56; 42.2 deg, d 2.140, I 45; 45.2 deg, d 2.004, I 36; 37.8 deg, d 2.382, I 35; 31.1 deg, d 2.875, I 15; 64.9 deg, d 1.437, I 14; 72.7 deg, d 1.301, I 13; 50.6 deg, d 1.803, I 13

Unit cell a=8.2524 b=8.2524 c=8.0161 alpha=90.00 beta=90.00 gamma=120.00
Fractional positions:
Y 0.0000 0.0000 0.2500
Y 0.0000 0.0000 0.7500
Y 0.3333 0.6667 0.2500
Y 0.6667 0.3333 0.7500
Ni 0.0000 0.5000 0.0000
Ni 0.0000 0.5000 0.5000
Ni 0.0440 0.3717 0.7500
Ni 0.0440 0.6723 0.7500
Ni 0.1652 0.3304 0.0218
Ni 0.1652 0.3304 0.4782
Ni 0.1652 0.8348 0.0218
Ni 0.1652 0.8348 0.4782
Ni 0.3277 0.3717 0.7500
Ni 0.3277 0.9560 0.7500
Ni 0.3304 0.1652 0.5218
Ni 0.3304 0.1652 0.9782
Ni 0.3333 0.6667 0.6028
Ni 0.3333 0.6667 0.8972
Ni 0.3717 0.0440 0.2500
Ni 0.3717 0.3277 0.2500
Ni 0.5000 0.0000 0.0000
Ni 0.5000 0.0000 0.5000
Ni 0.5000 0.5000 0.0000
Ni 0.5000 0.5000 0.5000
Ni 0.6283 0.6723 0.7500
Ni 0.6283 0.9560 0.7500
Ni 0.6667 0.3333 0.1028
Ni 0.6667 0.3333 0.3972
Ni 0.6696 0.8348 0.0218
Ni 0.6696 0.8348 0.4782
Ni 0.6723 0.0440 0.2500
Ni 0.6723 0.6283 0.2500
Ni 0.8348 0.1652 0.5218
Ni 0.8348 0.1652 0.9782
Ni 0.8348 0.6696 0.5218
Ni 0.8348 0.6696 0.9782
Ni 0.9560 0.3277 0.2500
Ni 0.9560 0.6283 0.2500

---

No. 4
# Y3Ni
Theoretical powder X-ray diffraction pattern, Cu Ka. Input: a structure optimized by DFT (GGA-PBE).
Kinematic intensities with the Lorentz-polarization factor, no thermal factor.

Top 10 peaks for 2θ = 10–80°, in order of falling intensity:
31.0 deg, d 2.885, I 100; 32.3 deg, d 2.768, I 47; 33.7 deg, d 2.660, I 39; 35.0 deg, d 2.565, I 35; 31.9 deg, d 2.803, I 34; 57.2 deg, d 1.611, I 28; 38.2 deg, d 2.354, I 18; 48.7 deg, d 1.871, I 17; 41.9 deg, d 2.154, I 16; 59.4 deg, d 1.556, I 14

Unit cell a=6.8672 b=9.7038 c=6.3667 alpha=90.00 beta=90.00 gamma=90.00
Fractional positions:
Y 0.0356 0.2500 0.1461
Y 0.1796 0.0674 0.6788
Y 0.1796 0.4326 0.6788
Y 0.3204 0.5674 0.1788
Y 0.3204 0.9326 0.1788
Y 0.4644 0.7500 0.6461
Y 0.5356 0.2500 0.3539
Y 0.6796 0.0674 0.8212
Y 0.6796 0.4326 0.8212
Y 0.8204 0.5674 0.3212
Y 0.8204 0.9326 0.3212
Y 0.9644 0.7500 0.8539
Ni 0.1104 0.7500 0.4430
Ni 0.3896 0.2500 0.9430
Ni 0.6104 0.7500 0.0570
Ni 0.8896 0.2500 0.5570

---

No. 5
# Y2Ni7
Theoretical powder X-ray diffraction pattern, Cu Ka. Input: a structure optimized by DFT (GGA-PBE).
Kinematic intensities with the Lorentz-polarization factor, no thermal factor.

Top 10 peaks for 2θ = 10–80°, in order of falling intensity:
43.0 deg, d 2.103, I 100; 36.4 deg, d 2.469, I 33; 42.3 deg, d 2.134, I 30; 47.0 deg, d 1.932, I 22; 32.5 deg, d 2.759, I 22; 45.2 deg, d 2.006, I 22; 70.1 deg, d 1.343, I 21; 77.3 deg, d 1.234, I 21; 34.4 deg, d 2.604, I 21; 47.8 deg, d 1.902, I 10

Unit cell a=12.3687 b=12.3687 c=12.3687 alpha=23.03 beta=23.03 gamma=23.03
Fractional positions:
Y 0.0504 0.0504 0.0504
Y 0.1472 0.1472 0.1472
Y 0.8528 0.8528 0.8528
Y 0.9496 0.9496 0.9496
Ni 0.0000 0.5000 0.5000
Ni 0.1089 0.6100 0.6100
Ni 0.2782 0.2782 0.2782
Ni 0.3883 0.3883 0.3883
Ni 0.3900 0.3900 0.8911
Ni 0.3900 0.8911 0.3900
Ni 0.5000 0.0000 0.5000
Ni 0.5000 0.5000 0.0000
Ni 0.5000 0.5000 0.5000
Ni 0.6100 0.1089 0.6100
Ni 0.6100 0.6100 0.1089
Ni 0.6117 0.6117 0.6117
Ni 0.7218 0.7218 0.7218
Ni 0.8911 0.3900 0.3900

---

No. 6
# Y2Ni7
Theoretical powder X-ray diffraction pattern, Cu Ka. Input: a structure optimized by DFT (GGA-PBE).
Kinematic intensities with the Lorentz-polarization factor, no thermal factor.

Top 10 peaks for 2θ = 10–80°, in order of falling intensity:
43.1 deg, d 2.100, I 100; 33.4 deg, d 2.680, I 38; 36.5 deg, d 2.463, I 35; 46.6 deg, d 1.950, I 31; 42.6 deg, d 2.124, I 30; 70.2 deg, d 1.340, I 24; 77.5 deg, d 1.231, I 22; 45.1 deg, d 2.009, I 21; 66.9 deg, d 1.399, I 13; 63.7 deg, d 1.460, I 11

Unit cell a=4.9253 b=4.9253 c=24.1092 alpha=90.00 beta=90.00 gamma=120.00
Fractional positions:
Y 0.3333 0.6667 0.0300
Y 0.3333 0.6667 0.1743
Y 0.3333 0.6667 0.3257
Y 0.3333 0.6667 0.4700
Y 0.6667 0.3333 0.5300
Y 0.6667 0.3333 0.6743
Y 0.6667 0.3333 0.8257
Y 0.6667 0.3333 0.9700
Ni 0.0000 0.0000 0.0000
Ni 0.0000 0.0000 0.1686
Ni 0.0000 0.0000 0.3314
Ni 0.0000 0.0000 0.5000
Ni 0.0000 0.0000 0.6686
Ni 0.0000 0.0000 0.8314
Ni 0.1664 0.3328 0.5865
Ni 0.1664 0.3328 0.9135
Ni 0.1664 0.8336 0.5865
Ni 0.1664 0.8336 0.9135
Ni 0.1675 0.3351 0.7500
Ni 0.1675 0.8325 0.7500
Ni 0.3328 0.1664 0.0865
Ni 0.3328 0.1664 0.4135
Ni 0.3333 0.6667 0.6673
Ni 0.3333 0.6667 0.8327
Ni 0.3351 0.1675 0.2500
Ni 0.6649 0.8325 0.7500
Ni 0.6667 0.3333 0.1673
Ni 0.6667 0.3333 0.3327
Ni 0.6672 0.8336 0.5865
Ni 0.6672 0.8336 0.9135
Ni 0.8325 0.1675 0.2500
Ni 0.8325 0.6649 0.2500
Ni 0.8336 0.1664 0.0865
Ni 0.8336 0.1664 0.4135
Ni 0.8336 0.6672 0.0865
Ni 0.8336 0.6672 0.4135

---

No. 7
# Y4ZrNi25
Theoretical powder X-ray diffraction pattern, Cu Ka. Input: a structure optimized by DFT (GGA-PBE).
Kinematic intensities with the Lorentz-polarization factor, no thermal factor.

Top 10 peaks for 2θ = 10–80°, in order of falling intensity:
43.8 deg, d 2.069, I 100; 46.2 deg, d 1.963, I 30; 31.1 deg, d 2.873, I 27; 42.9 deg, d 2.110, I 21; 64.9 deg, d 1.437, I 17; 49.0 deg, d 1.858, I 16; 37.0 deg, d 2.432, I 16; 71.2 deg, d 1.324, I 14; 78.7 deg, d 1.216, I 11; 60.6 deg, d 1.528, I 11

Unit cell a=21.1809 b=21.1809 c=3.9263 alpha=90.00 beta=90.00 gamma=166.78
Fractional positions:
Y 0.1001 0.8999 0.0000
Y 0.3000 0.7000 0.0000
Y 0.7000 0.3000 0.0000
Y 0.8999 0.1001 0.0000
Zr 0.5000 0.5000 0.0000
Ni 0.0000 0.0000 0.5000
Ni 0.0000 0.5000 0.5000
Ni 0.0323 0.9677 0.0000
Ni 0.1001 0.4001 0.5000
Ni 0.1667 0.8333 0.0000
Ni 0.2000 0.8000 0.5000
Ni 0.2037 0.3024 0.5000
Ni 0.2333 0.7667 0.0000
Ni 0.3024 0.2037 0.5000
Ni 0.3667 0.6333 0.0000
Ni 0.4001 0.1001 0.5000
Ni 0.4001 0.5999 0.5000
Ni 0.4343 0.5657 0.0000
Ni 0.5000 0.0000 0.5000
Ni 0.5657 0.4343 0.0000
Ni 0.5999 0.4001 0.5000
Ni 0.5999 0.8999 0.5000
Ni 0.6333 0.3667 0.0000
Ni 0.6976 0.7963 0.5000
Ni 0.7667 0.2333 0.0000
Ni 0.7963 0.6976 0.5000
Ni 0.8000 0.2000 0.5000
Ni 0.8333 0.1667 0.0000
Ni 0.8999 0.5999 0.5000
Ni 0.9677 0.0323 0.0000

---

No. 8
# ZnNi
Theoretical powder X-ray diffraction pattern, Cu Ka. Input: a structure optimized by DFT (GGA-PBE).
Kinematic intensities with the Lorentz-polarization factor, no thermal factor.

Top 5 peaks for 2θ = 10–80°, in order of falling intensity:
43.4 deg, d 2.083, I 100; 46.8 deg, d 1.940, I 40; 77.3 deg, d 1.234, I 16; 68.4 deg, d 1.372, I 12; 57.6 deg, d 1.599, I 10

Unit cell a=2.7440 b=2.7440 c=3.1989 alpha=90.00 beta=90.00 gamma=90.00
Fractional positions:
Zn 0.0000 0.0000 0.0000
Ni 0.5000 0.5000 0.5000